No. 1
Diffraction record for Pm3Au. The X-ray diffraction stick pattern is computed, not measured: it uses a structure optimized by DFT (GGA-PBE) and Cu Kα (λ = 1.5418 Å).

Structure:
```
Pm3Au
1.0
7.002 0.000 0.000
-3.501 6.064 0.000
0.000 0.000 5.336
Pm Au
6 2
direct
0.177 0.353 0.250 Pm
0.177 0.823 0.250 Pm
0.353 0.177 0.750 Pm
0.647 0.823 0.250 Pm
0.823 0.177 0.750 Pm
0.823 0.647 0.750 Pm
0.333 0.667 0.750 Au
0.667 0.333 0.250 Au
```

Main lines, by angle (2θ from 10° to 90°):
2θ (°), Rel. int.
29.46, 24
33.59, 23
34.01, 100
45.27, 15
52.26, 19
60.33, 19
63.57, 21
63.83, 15
83.85, 7
86.95, 13

=====

No. 2
Diffraction record for PmAu3. The X-ray diffraction stick pattern is computed, not measured: it uses a structure optimized by DFT (GGA-PBE) and Cu Kα (λ = 1.5418 Å).

Structure:
```
PmAu3
1.0
6.438 0.000 0.000
-3.219 5.576 0.000
0.000 0.000 4.843
Pm Au
2 6
direct
0.333 0.667 0.250 Pm
0.667 0.333 0.750 Pm
0.157 0.313 0.750 Au
0.157 0.843 0.750 Au
0.313 0.157 0.250 Au
0.687 0.843 0.750 Au
0.843 0.157 0.250 Au
0.843 0.687 0.250 Au
```

Main lines, by angle (2θ from 10° to 90°):
2θ (°), Rel. int.
15.90, 4
32.11, 20
37.20, 100
49.88, 12
57.24, 15
66.99, 15
67.15, 2
70.24, 28
79.31, 3
87.92, 3

=====

No. 3
Diffraction record for PmAu3. The X-ray diffraction stick pattern is computed, not measured: it uses a structure optimized by DFT (GGA-PBE) and Cu Kα (λ = 1.5418 Å).

Structure:
```
PmAu3
1.0
0.000 3.517 3.517
3.517 0.000 3.517
3.517 3.517 0.000
Pm Au
1 3
direct
0.000 0.000 0.000 Pm
0.250 0.250 0.250 Au
0.500 0.500 0.500 Au
0.750 0.750 0.750 Au
```

Main lines, by angle (2θ from 10° to 90°):
2θ (°), Rel. int.
21.88, 1
25.32, 1
36.12, 100
42.63, 1
52.00, 18
64.95, 37
76.63, 12
87.76, 17

=====

No. 4
Diffraction record for Pm3Au. The X-ray diffraction stick pattern is computed, not measured: it uses a structure optimized by DFT (GGA-PBE) and Cu Kα (λ = 1.5418 Å).

Structure:
```
Pm3Au
1.0
-2.353 2.353 5.113
2.353 -2.353 5.113
2.353 2.353 -5.113
Pm Au
3 1
direct
0.000 0.000 0.000 Pm
0.250 0.750 0.500 Pm
0.750 0.250 0.500 Pm
0.500 0.500 0.000 Au
```

Main lines, by angle (2θ from 10° to 90°):
2θ (°), Rel. int.
32.09, 100
35.10, 20
38.25, 31
52.88, 25
55.21, 11
61.09, 16
65.30, 26
67.12, 12
86.68, 6
86.90, 12

=====

No. 5
Diffraction record for Pm2PtAu. The X-ray diffraction stick pattern is computed, not measured: it uses a structure optimized by DFT (GGA-PBE) and Cu Kα (λ = 1.5418 Å).

Structure:
```
Pm2PtAu
1.0
0.000 3.639 3.639
3.639 0.000 3.639
3.639 3.639 0.000
Pm Pt Au
2 1 1
direct
0.250 0.250 0.250 Pm
0.750 0.750 0.750 Pm
0.000 0.000 0.000 Pt
0.500 0.500 0.500 Au
```

Main lines, by angle (2θ from 10° to 90°):
2θ (°), Rel. int.
24.46, 2
34.87, 100
43.06, 1
50.14, 18
56.55, 1
62.52, 37
73.63, 12
78.93, 1
84.13, 17

=====

No. 6
Diffraction record for Pm2RuAu. The X-ray diffraction stick pattern is computed, not measured: it uses a structure optimized by DFT (GGA-PBE) and Cu Kα (λ = 1.5418 Å).

Structure:
```
Pm2RuAu
1.0
0.000 3.595 3.595
3.595 0.000 3.595
3.595 3.595 0.000
Pm Ru Au
2 1 1
direct
0.250 0.250 0.250 Pm
0.750 0.750 0.750 Pm
0.000 0.000 0.000 Ru
0.500 0.500 0.500 Au
```

Main lines, by angle (2θ from 10° to 90°):
2θ (°), Rel. int.
21.40, 5
35.31, 100
41.66, 3
50.79, 18
55.72, 1
63.37, 37
67.71, 1
74.67, 11
78.74, 1
85.39, 16

=====

No. 7
Diffraction record for PmSbAu2. The X-ray diffraction stick pattern is computed, not measured: it uses a structure optimized by DFT (GGA-PBE) and Cu Kα (λ = 1.5418 Å).

Structure:
```
PmSbAu2
1.0
0.000 3.599 3.599
3.599 0.000 3.599
3.599 3.599 0.000
Pm Sb Au
1 1 2
direct
0.000 0.000 0.000 Pm
0.500 0.500 0.500 Sb
0.250 0.250 0.250 Au
0.750 0.750 0.750 Au
```

Main lines, by angle (2θ from 10° to 90°):
2θ (°), Rel. int.
24.74, 4
35.27, 100
43.56, 1
50.74, 18
57.24, 2
63.30, 37
74.59, 12
79.99, 1
85.29, 17

=====

No. 8
Diffraction record for Pm2SiAu. The X-ray diffraction stick pattern is computed, not measured: it uses a structure optimized by DFT (GGA-PBE) and Cu Kα (λ = 1.5418 Å).

Structure:
```
Pm2SiAu
1.0
0.000 3.672 3.672
3.672 0.000 3.672
3.672 3.672 0.000
Pm Si Au
2 1 1
direct
0.250 0.250 0.250 Pm
0.750 0.750 0.750 Pm
0.000 0.000 0.000 Si
0.500 0.500 0.500 Au
```

Main lines, by angle (2θ from 10° to 90°):
2θ (°), Rel. int.
20.95, 23
34.54, 100
40.75, 14
49.65, 18
54.46, 6
61.90, 37
66.11, 4
72.86, 12
76.78, 4
83.20, 17

=====

No. 9
Diffraction record for Pm2SnAu. The X-ray diffraction stick pattern is computed, not measured: it uses a structure optimized by DFT (GGA-PBE) and Cu Kα (λ = 1.5418 Å).

Structure:
```
Pm2SnAu
1.0
0.000 3.789 3.789
3.789 0.000 3.789
3.789 3.789 0.000
Pm Sn Au
2 1 1
direct
0.250 0.250 0.250 Pm
0.750 0.750 0.750 Pm
0.000 0.000 0.000 Sn
0.500 0.500 0.500 Au
```

Main lines, by angle (2θ from 10° to 90°):
2θ (°), Rel. int.
20.30, 3
33.45, 100
39.44, 2
48.03, 18
52.65, 1
59.79, 38
63.83, 1
70.27, 12
80.10, 17
89.64, 4

=====

No. 10
Diffraction record for PrAu2. The X-ray diffraction stick pattern is computed, not measured: it uses a structure optimized by DFT (GGA-PBE) and Cu Kα (λ = 1.5418 Å).

Structure:
```
PrAu2
1.0
-2.363 3.615 4.186
2.363 -3.615 4.186
2.363 3.615 -4.186
Pr Au
2 4
direct
0.285 0.035 0.250 Pr
0.715 0.965 0.750 Pr
0.130 0.664 0.467 Au
0.303 0.336 0.967 Au
0.697 0.664 0.033 Au
0.870 0.336 0.533 Au
```

Main lines, by angle (2θ from 10° to 90°):
2θ (°), Rel. int.
24.62, 23
31.10, 19
32.73, 42
32.98, 100
37.42, 87
38.08, 46
45.31, 25
51.07, 25
64.48, 29
64.90, 23

=====

No. 11
Diffraction record for Pr2Au. The X-ray diffraction stick pattern is computed, not measured: it uses a structure optimized by DFT (GGA-PBE) and Cu Kα (λ = 1.5418 Å).

Structure:
```
Pr2Au
1.0
7.406 0.000 0.000
0.000 5.153 0.000
0.000 0.000 9.424
Pr Au
8 4
direct
0.007 0.250 0.174 Pr
0.150 0.250 0.586 Pr
0.350 0.750 0.086 Pr
0.493 0.750 0.674 Pr
0.507 0.250 0.326 Pr
0.650 0.250 0.914 Pr
0.850 0.750 0.414 Pr
0.993 0.750 0.826 Pr
0.241 0.250 0.904 Au
0.259 0.750 0.404 Au
0.741 0.250 0.596 Au
0.759 0.750 0.096 Au
```

Main lines, by angle (2θ from 10° to 90°):
2θ (°), Rel. int.
28.35, 60
29.71, 24
30.71, 23
31.22, 100
33.41, 78
34.82, 64
41.29, 20
41.57, 31
41.70, 29
55.08, 17

=====

No. 12
Diffraction record for Pr2SbAu3. The X-ray diffraction stick pattern is computed, not measured: it uses a structure optimized by DFT (GGA-PBE) and Cu Kα (λ = 1.5418 Å).

Structure:
```
Pr2SbAu3
1.0
3.727 0.000 0.000
0.000 4.719 0.000
0.000 0.000 8.491
Pr Sb Au
2 1 3
direct
0.000 0.000 0.000 Pr
0.000 0.500 0.475 Pr
0.500 0.500 0.822 Sb
0.500 0.000 0.321 Au
0.500 0.000 0.647 Au
0.500 0.500 0.156 Au
```

Main lines, by angle (2θ from 10° to 90°):
2θ (°), Rel. int.
23.87, 23
31.95, 48
32.37, 100
37.04, 81
38.14, 38
44.54, 19
48.87, 19
50.58, 27
62.87, 35
88.35, 17

=====

No. 13
Diffraction record for PrSb2Au. The X-ray diffraction stick pattern is computed, not measured: it uses a structure optimized by DFT (GGA-PBE) and Cu Kα (λ = 1.5418 Å).

Structure:
```
PrSb2Au
1.0
4.466 0.000 0.000
0.000 4.466 0.000
0.000 0.000 10.423
Pr Sb Au
2 4 2
direct
0.250 0.250 0.245 Pr
0.750 0.750 0.755 Pr
0.250 0.250 0.676 Sb
0.250 0.750 0.000 Sb
0.750 0.250 0.000 Sb
0.750 0.750 0.324 Sb
0.250 0.750 0.500 Au
0.750 0.250 0.500 Au
```

Main lines, by angle (2θ from 10° to 90°):
2θ (°), Rel. int.
26.28, 7
33.17, 100
34.42, 14
38.52, 8
40.39, 35
54.09, 16
58.45, 12
60.85, 9
68.88, 24
69.62, 8